# LiFe4B4O12
Theoretical powder diffraction line list, copper Kα. Input: a structure optimized by DFT (GGA+U).
Intensities are scaled so that the largest is 100.

Principal peaks in the range 2θ = 5–70°, in order of rising 2θ:
| 2theta | d (Å) | I/Imax |
| --- | --- | --- |
| 19.37 | 4.583 | 42 |
| 19.63 | 4.523 | 80 |
| 21.27 | 4.178 | 86 |
| 21.49 | 4.135 | 41 |
| 26.14 | 3.409 | 100 |
| 34.19 | 2.623 | 50 |
| 35.20 | 2.550 | 60 |
| 38.16 | 2.358 | 26 |
| 40.33 | 2.236 | 32 |
| 53.45 | 1.714 | 27 |

Crystal structure
```
data_LiFe4B4O12
_chemical_formula_sum 'Li2 Fe8 B8 O24'
_symmetry_space_group_name_H-M 'P 1 c 1'
_symmetry_Int_Tables_number 7
_cell_length_a 5.3160
_cell_length_b 9.0462
_cell_length_c 11.4929
_cell_angle_alpha 90.00
_cell_angle_beta 117.45
_cell_angle_gamma 90.00
loop_
_symmetry_equiv_pos_as_xyz
'x,y,z'
'x,-y,z+1/2'
loop_
_atom_site_label
_atom_site_type_symbol
_atom_site_fract_x
_atom_site_fract_y
_atom_site_fract_z
Li1 Li 0.0000 0.2495 0.0000
Fe1 Fe 0.4341 0.4218 0.2472
Fe2 Fe 0.5276 0.0851 0.0178
Fe3 Fe 0.9662 0.0720 0.7695
Fe4 Fe 0.9989 0.4091 0.4966
B1 B 0.0172 0.0809 0.5137
B2 B 0.4377 0.0907 0.2565
B3 B 0.5206 0.4247 0.0002
B4 B 0.9517 0.4151 0.7614
O1 O 0.0906 0.0472 0.9683
O2 O 0.0993 0.2162 0.4906
O3 O 0.1041 0.4438 0.6911
O4 O 0.3072 0.2274 0.2237
O5 O 0.3176 0.4463 0.0469
O6 O 0.3541 0.0142 0.8187
O7 O 0.5871 0.4500 0.4460
O8 O 0.6439 0.2932 0.0070
O9 O 0.6448 0.0582 0.2202
O10 O 0.8401 0.4628 0.2981
O11 O 0.8575 0.0670 0.5797
O12 O 0.9232 0.2780 0.8002
```